TaRu3: simulated XRD peak list (a wavelength of 1.5418 Å), based on DFT lattice parameters and positions (GGA-PBE).
Peak positions follow from Bragg's law for the DFT cell and can differ from measured ones.

Cell and atoms:
abc: 3.907 3.907 3.907
angles: 90.00 90.00 90.00
Space group Pm-3m (No. 221)
Symmetry-distinct sites (fractional):
Ta 0.000 0.000 0.000 x1
Ru 0.000 0.500 0.500 x3

Principal peaks in the range 5° ≤ 2θ ≤ 70°, by intensity:
- hkl 1 1 1, 40.0°, I = 100
- hkl 2 0 0, 46.5°, I = 49
- hkl 2 2 0, 67.8°, I = 31
- hkl 1 0 0, 22.8°, I = 7
- hkl 1 1 0, 32.4°, I = 6
- hkl 2 1 0, 52.4°, I = 3



TaRu3: simulated XRD peak list (a wavelength of 1.5418 Å), based on DFT lattice parameters and positions (GGA-PBE).
Peak positions follow from Bragg's law for the DFT cell and can differ from measured ones.

Cell and atoms:
abc: 5.6026 5.6026 4.3911
angles: 90.00 90.00 120.00
Space group P6_3/mmc (No. 194)
Symmetry-distinct sites (fractional):
Ta 0.3333 0.6667 0.2500 x2
Ru 0.1666 0.3333 0.7500 x6

Principal peaks in the range 5° ≤ 2θ ≤ 70°, by intensity:
- hkl 2 0 1, 42.6°, I = 100
- hkl 2 0 0, 37.1°, I = 25
- hkl 0 0 2, 41.1°, I = 25
- hkl 2 2 0, 66.8°, I = 18
- hkl 2 0 2, 56.5°, I = 14
- hkl 1 0 1, 27.4°, I = 7



TbTaRu2: simulated XRD peak list (a wavelength of 1.5418 Å), based on DFT lattice parameters and positions (GGA-PBE).
Peak positions follow from Bragg's law for the DFT cell and can differ from measured ones.

Cell and atoms:
abc: 6.562 6.562 6.562
angles: 90.00 90.00 90.00
Space group Fm-3m (No. 225)
Symmetry-distinct sites (fractional):
Tb 0.000 0.000 0.000 x4
Ta 0.000 0.000 0.500 x4
Ru 0.250 0.250 0.250 x8

Principal peaks in the range 5° ≤ 2θ ≤ 70°, by intensity:
- hkl 2 2 0, 38.8°, I = 100
- hkl 4 0 0, 56.1°, I = 17
- hkl 2 0 0, 27.2°, I = 7
- hkl 4 2 0, 63.4°, I = 3
- hkl 2 2 2, 48.0°, I = 2



Ta2TcRu: simulated XRD peak list (a wavelength of 1.5418 Å), based on DFT lattice parameters and positions (GGA-PBE).
Peak positions follow from Bragg's law for the DFT cell and can differ from measured ones.

Cell and atoms:
abc: 6.368 6.368 6.368
angles: 90.00 90.00 90.00
Space group Fm-3m (No. 225)
Symmetry-distinct sites (fractional):
Ta 0.250 0.250 0.250 x8
Tc 0.000 0.000 0.000 x4
Ru 0.000 0.000 0.500 x4

Principal peaks in the range 5° ≤ 2θ ≤ 70°, by intensity:
- hkl 2 2 0, 40.0°, I = 100
- hkl 4 0 0, 57.9°, I = 17
- hkl 2 0 0, 28.0°, I = 9
- hkl 4 2 0, 65.6°, I = 4
- hkl 2 2 2, 49.6°, I = 3



TaTe4Ru: simulated XRD peak list (a wavelength of 1.5418 Å), based on DFT lattice parameters and positions (GGA-PBE).
Peak positions follow from Bragg's law for the DFT cell and can differ from measured ones.

Cell and atoms:
abc: 3.768 12.647 13.636
angles: 90.00 90.00 90.00
Space group Pmn2_1 (No. 31)
Symmetry-distinct sites (fractional):
Ta 0.000 0.059 0.000 x2
Ta 0.000 0.275 0.484 x2
Te 0.000 0.066 0.391 x2
Te 0.000 0.196 0.848 x2
Te 0.000 0.348 0.084 x2
Te 0.000 0.415 0.633 x2
Te 0.000 0.566 0.396 x2
Te 0.000 0.675 0.842 x2
Te 0.000 0.849 0.097 x2
Te 0.000 0.892 0.642 x2
Ru 0.000 0.545 0.998 x2
Ru 0.000 0.763 0.483 x2

Principal peaks in the range 5° ≤ 2θ ≤ 70°, by intensity:
- hkl 0 0 2, 13.0°, I = 100
- hkl 1 2 2, 30.6°, I = 90
- hkl 1 2 3, 34.0°, I = 72
- hkl 1 2 5, 43.4°, I = 40
- hkl 1 4 2, 39.5°, I = 31
- hkl 0 4 1, 29.0°, I = 28



TaTiRu2: simulated XRD peak list (a wavelength of 1.5418 Å), based on DFT lattice parameters and positions (GGA-PBE).
Peak positions follow from Bragg's law for the DFT cell and can differ from measured ones.

Cell and atoms:
abc: 6.266 6.266 6.266
angles: 90.00 90.00 90.00
Space group Fm-3m (No. 225)
Symmetry-distinct sites (fractional):
Ta 0.000 0.000 0.000 x4
Ti 0.000 0.000 0.500 x4
Ru 0.250 0.250 0.250 x8

Principal peaks in the range 5° ≤ 2θ ≤ 70°, by intensity:
- hkl 2 2 0, 40.7°, I = 100
- hkl 1 1 1, 24.6°, I = 22
- hkl 4 0 0, 59.0°, I = 17
- hkl 3 1 1, 48.2°, I = 12
- hkl 3 3 1, 64.9°, I = 5



TmTaRu2: simulated XRD peak list (a wavelength of 1.5418 Å), based on DFT lattice parameters and positions (GGA-PBE).
Peak positions follow from Bragg's law for the DFT cell and can differ from measured ones.

Cell and atoms:
abc: 6.508 6.508 6.508
angles: 90.00 90.00 90.00
Space group Fm-3m (No. 225)
Symmetry-distinct sites (fractional):
Tm 0.000 0.000 0.000 x4
Ta 0.000 0.000 0.500 x4
Ru 0.250 0.250 0.250 x8

Principal peaks in the range 5° ≤ 2θ ≤ 70°, by intensity:
- hkl 2 2 0, 39.2°, I = 100
- hkl 4 0 0, 56.6°, I = 17
- hkl 2 0 0, 27.4°, I = 8
- hkl 4 2 0, 64.0°, I = 3
- hkl 2 2 2, 48.5°, I = 2



Ta2VRu: simulated XRD peak list (a wavelength of 1.5418 Å), based on DFT lattice parameters and positions (GGA-PBE).
Peak positions follow from Bragg's law for the DFT cell and can differ from measured ones.

Cell and atoms:
abc: 6.328 6.328 6.328
angles: 90.00 90.00 90.00
Space group Fm-3m (No. 225)
Symmetry-distinct sites (fractional):
Ta 0.250 0.250 0.250 x8
V 0.000 0.000 0.000 x4
Ru 0.000 0.000 0.500 x4

Principal peaks in the range 5° ≤ 2θ ≤ 70°, by intensity:
- hkl 2 2 0, 40.3°, I = 100
- hkl 2 0 0, 28.2°, I = 20
- hkl 4 0 0, 58.3°, I = 17
- hkl 4 2 0, 66.0°, I = 8
- hkl 2 2 2, 49.9°, I = 6
- hkl 1 1 1, 24.4°, I = 3



Ta2RuW: simulated XRD peak list (a wavelength of 1.5418 Å), based on DFT lattice parameters and positions (GGA-PBE).
Peak positions follow from Bragg's law for the DFT cell and can differ from measured ones.

Cell and atoms:
abc: 6.424 6.424 6.424
angles: 90.00 90.00 90.00
Space group Fm-3m (No. 225)
Symmetry-distinct sites (fractional):
Ta 0.250 0.250 0.250 x8
Ru 0.000 0.000 0.000 x4
W 0.000 0.000 0.500 x4

Principal peaks in the range 5° ≤ 2θ ≤ 70°, by intensity:
- hkl 2 2 0, 39.7°, I = 100
- hkl 4 0 0, 57.4°, I = 17
- hkl 1 1 1, 24.0°, I = 3
- hkl 3 1 1, 46.9°, I = 2
- hkl 2 0 0, 27.8°, I = 2
- hkl 3 3 1, 63.1°, I = 1



Tb5Ru2: simulated XRD peak list (a wavelength of 1.5418 Å), based on DFT lattice parameters and positions (GGA-PBE).
Peak positions follow from Bragg's law for the DFT cell and can differ from measured ones.

Cell and atoms:
abc: 15.857 6.382 7.310
angles: 90.00 97.04 90.00
Space group C2/c (No. 15)
Symmetry-distinct sites (fractional):
Tb 0.000 0.081 0.250 x4
Tb 0.093 0.384 0.916 x8
Tb 0.218 0.076 0.314 x8
Ru 0.110 0.212 0.576 x8

Principal peaks in the range 5° ≤ 2θ ≤ 70°, by intensity:
- hkl 5 1 0, 31.7°, I = 100
- hkl 4 0 -2, 31.5°, I = 88
- hkl 0 2 1, 30.6°, I = 83
- hkl 1 1 -2, 28.3°, I = 61
- hkl 1 1 -3, 39.6°, I = 49
- hkl 5 1 1, 35.4°, I = 47



Tb3Ru: simulated XRD peak list (a wavelength of 1.5418 Å), based on DFT lattice parameters and positions (GGA-PBE).
Peak positions follow from Bragg's law for the DFT cell and can differ from measured ones.

Cell and atoms:
abc: 7.321 9.300 6.328
angles: 90.00 90.00 90.00
Space group Pnma (No. 62)
Symmetry-distinct sites (fractional):
Tb 0.039 0.250 0.138 x4
Tb 0.175 0.065 0.672 x8
Ru 0.116 0.750 0.458 x4

Principal peaks in the range 5° ≤ 2θ ≤ 70°, by intensity:
- hkl 0 3 1, 32.2°, I = 100
- hkl 2 2 1, 34.3°, I = 98
- hkl 1 1 2, 32.3°, I = 88
- hkl 2 2 0, 31.1°, I = 67
- hkl 1 3 1, 34.5°, I = 62
- hkl 2 1 1, 29.8°, I = 55



TcRu3: simulated XRD peak list (a wavelength of 1.5418 Å), based on DFT lattice parameters and positions (GGA-PBE).
Peak positions follow from Bragg's law for the DFT cell and can differ from measured ones.

Cell and atoms:
abc: 5.4754 5.4754 4.3301
angles: 90.00 90.00 120.00
Space group P6_3/mmc (No. 194)
Symmetry-distinct sites (fractional):
Tc 0.3333 0.6667 0.2500 x2
Ru 0.1673 0.3345 0.7500 x6

Principal peaks in the range 5° ≤ 2θ ≤ 70°, by intensity:
- hkl 2 0 1, 43.5°, I = 100
- hkl 0 0 2, 41.7°, I = 25
- hkl 2 0 0, 38.0°, I = 25
- hkl 2 2 0, 68.6°, I = 17
- hkl 2 0 2, 57.7°, I = 14



Tc3Ru: simulated XRD peak list (a wavelength of 1.5418 Å), based on DFT lattice parameters and positions (GGA-PBE).
Peak positions follow from Bragg's law for the DFT cell and can differ from measured ones.

Cell and atoms:
abc: 5.5216 5.5216 4.3641
angles: 90.00 90.00 120.00
Space group P6_3/mmc (No. 194)
Symmetry-distinct sites (fractional):
Tc 0.1650 0.3299 0.2500 x6
Ru 0.3333 0.6667 0.7500 x2

Principal peaks in the range 5° ≤ 2θ ≤ 70°, by intensity:
- hkl 2 0 1, 43.1°, I = 100
- hkl 0 0 2, 41.4°, I = 25
- hkl 2 0 0, 37.6°, I = 25
- hkl 2 2 0, 67.9°, I = 17
- hkl 2 0 2, 57.2°, I = 14



V2TcRu: simulated XRD peak list (a wavelength of 1.5418 Å), based on DFT lattice parameters and positions (GGA-PBE).
Peak positions follow from Bragg's law for the DFT cell and can differ from measured ones.

Cell and atoms:
abc: 6.036 6.036 6.036
angles: 90.00 90.00 90.00
Space group Fm-3m (No. 225)
Symmetry-distinct sites (fractional):
V 0.250 0.250 0.250 x8
Tc 0.000 0.000 0.000 x4
Ru 0.000 0.000 0.500 x4

Principal peaks in the range 5° ≤ 2θ ≤ 70°, by intensity:
- hkl 2 2 0, 42.4°, I = 100
- hkl 4 0 0, 61.4°, I = 16
- hkl 2 0 0, 29.6°, I = 15
- hkl 4 2 0, 69.7°, I = 6
- hkl 2 2 2, 52.5°, I = 4



Te2Ru: simulated XRD peak list (a wavelength of 1.5418 Å), based on DFT lattice parameters and positions (GGA-PBE).
Peak positions follow from Bragg's law for the DFT cell and can differ from measured ones.

Cell and atoms:
abc: 6.466 6.466 6.466
angles: 90.00 90.00 90.00
Space group Pa-3 (No. 205)
Symmetry-distinct sites (fractional):
Te 0.128 0.128 0.128 x8
Ru 0.000 0.000 0.500 x4

Principal peaks in the range 5° ≤ 2θ ≤ 70°, by intensity:
- hkl 2 1 0, 30.9°, I = 100
- hkl 2 1 1, 34.0°, I = 75
- hkl 3 1 1, 46.6°, I = 74
- hkl 3 1 2, 53.0°, I = 42
- hkl 4 2 1, 66.2°, I = 22
- hkl 3 0 2, 50.9°, I = 21